This entry pairs a crystal structure of Hf2W4S3N3 with its simulated PXRD pattern. Radiation: Cu Kα. Structure: a structure optimized by DFT (PBE).
Neutral-atom scattering factors, no anomalous dispersion.

Structure:
abc: 5.615 5.615 12.156
angles: 102.94 102.94 60.55
Element x y z (fractional)
Hf: 0.034 0.845 0.604
Hf: 0.155 0.966 0.896
Hf: 0.845 0.034 0.104
Hf: 0.966 0.155 0.396
W: 0.235 0.393 0.099
W: 0.343 0.442 0.408
W: 0.393 0.235 0.599
W: 0.442 0.343 0.908
W: 0.558 0.657 0.092
W: 0.607 0.765 0.401
W: 0.657 0.558 0.592
W: 0.765 0.607 0.901
S: 0.067 0.280 0.745
S: 0.280 0.067 0.245
S: 0.425 0.575 0.750
S: 0.575 0.425 0.250
S: 0.720 0.933 0.755
S: 0.933 0.720 0.255
N: 0.000 0.500 0.500
N: 0.154 0.696 0.000
N: 0.304 0.846 0.500
N: 0.500 0.000 0.000
N: 0.696 0.154 0.500
N: 0.846 0.304 0.000

Principal peaks in the range 15° ≤ 2θ ≤ 90°, by angle:
- 2θ = 15.09°, intensity 50
- 2θ = 30.46°, intensity 53
- 2θ = 32.79°, intensity 70
- 2θ = 39.28°, intensity 89
- 2θ = 39.39°, intensity 93
- 2θ = 39.62°, intensity 100

***

This entry pairs a crystal structure of Hf4SbN3 with its simulated PXRD pattern. Radiation: Cu Kα. Structure: a structure optimized by DFT (PBE).
Neutral-atom scattering factors, no anomalous dispersion.

Structure:
abc: 3.269 3.269 24.274
angles: 90.00 90.00 120.00
Element x y z (fractional)
Hf: 0.000 0.000 0.156
Hf: 0.000 0.000 0.344
Hf: 0.000 0.000 0.656
Hf: 0.000 0.000 0.844
Hf: 0.333 0.667 0.054
Hf: 0.333 0.667 0.446
Hf: 0.667 0.333 0.554
Hf: 0.667 0.333 0.946
Sb: 0.333 0.667 0.250
Sb: 0.667 0.333 0.750
N: 0.000 0.000 0.000
N: 0.000 0.000 0.500
N: 0.333 0.667 0.605
N: 0.333 0.667 0.895
N: 0.667 0.333 0.105
N: 0.667 0.333 0.395

Principal peaks in the range 15° ≤ 2θ ≤ 90°, by angle:
- 2θ = 34.97°, intensity 56
- 2θ = 36.75°, intensity 81
- 2θ = 37.03°, intensity 44
- 2θ = 38.82°, intensity 100
- 2θ = 56.28°, intensity 52
- 2θ = 69.30°, intensity 44

***

This entry pairs a crystal structure of HfSc3N4 with its simulated PXRD pattern. Radiation: Cu Kα. Structure: a structure optimized by DFT (PBE).
Neutral-atom scattering factors, no anomalous dispersion.

Structure:
abc: 5.508 5.508 3.183
angles: 90.00 90.00 109.38
Element x y z (fractional)
Hf: 0.000 0.000 0.000
Sc: 0.000 0.500 0.500
Sc: 0.500 0.000 0.500
Sc: 0.500 0.500 0.000
N: 0.245 0.245 0.500
N: 0.247 0.753 0.000
N: 0.753 0.247 0.000
N: 0.755 0.755 0.500

Principal peaks in the range 15° ≤ 2θ ≤ 90°, by angle:
- 2θ = 17.06°, intensity 72
- 2θ = 33.01°, intensity 44
- 2θ = 34.53°, intensity 100
- 2θ = 40.08°, intensity 99
- 2θ = 57.97°, intensity 61
- 2θ = 69.26°, intensity 41